TiRe: theoretical powder diffraction line list (copper Kα), based on a PBE-relaxed structure.
Lines closer than 0.1° are merged.

Structural model:
abc: 5.129 5.277 9.205
angles: 90.00 90.00 90.00
Sites, in units of the cell vectors:
Ti 0.005 0.000 0.250
Ti 0.250 0.381 0.000
Ti 0.250 0.619 0.500
Ti 0.495 0.000 0.750
Ti 0.505 0.500 0.750
Ti 0.750 0.119 0.000
Ti 0.750 0.881 0.500
Ti 0.995 0.500 0.250
Re 0.000 0.250 0.747
Re 0.000 0.750 0.753
Re 0.250 0.110 0.500
Re 0.250 0.890 0.000
Re 0.500 0.250 0.253
Re 0.500 0.750 0.247
Re 0.750 0.390 0.500
Re 0.750 0.610 0.000

Peak list (12 most intense, 10 to 80 degrees two-theta, low angle first)
- 2θ = 19.39°, rel. 21, hkl 0 1 1
- 2θ = 19.82°, rel. 48, hkl 1 0 1
- 2θ = 24.20°, rel. 19, hkl 1 1 0
- 2θ = 31.13°, rel. 19, hkl 1 1 2
- 2θ = 34.03°, rel. 16, hkl 1 0 3
- 2θ = 39.15°, rel. 51, hkl 0 0 4
- 2θ = 39.64°, rel. 97, hkl 1 2 1
- 2θ = 40.26°, rel. 100, hkl 2 0 2
- 2θ = 48.87°, rel. 53, hkl 1 2 3
- 2θ = 64.32°, rel. 23, hkl 1 2 5
- 2θ = 65.90°, rel. 24, hkl 3 2 1
- 2θ = 71.69°, rel. 17, hkl 2 0 6